Simulated X-ray diffraction stick pattern
Compound: UTi2O6
Radiation: λ = 1.5418 Å (Cu Kα)
Structure: DFT lattice parameters and positions (GGA-PBE)
Lines closer than 0.1° are merged.

Structure:
```
UTi2O6
1.0
4.999 -1.883 0.000
4.999 1.883 0.000
-3.368 0.000 6.036
U Ti O
1 2 6
Direct
0.000 0.000 0.000
0.176 0.176 0.610
0.824 0.824 0.390
0.025 0.025 0.699
0.280 0.280 0.404
0.353 0.353 0.899
0.647 0.647 0.101
0.720 0.720 0.596
0.975 0.975 0.301
```

Largest 10 diffraction maxima, most intense first, 10° ≤ 2θ ≤ 80°:
- 2θ 25.76, I = 100.0
- 2θ 18.38, I = 78.2
- 2θ 26.49, I = 55.3
- 2θ 30.56, I = 45.2
- 2θ 14.68, I = 42.3
- 2θ 35.98, I = 41.5
- 2θ 32.22, I = 38.7
- 2θ 35.50, I = 30.6
- 2θ 20.34, I = 27.7
- 2θ 39.11, I = 26.8